(1)
Nd2Ho4Sc3: theoretical powder diffraction line list (copper Kα), based on a DFT-relaxed cell (GGA-PBE, Alexandria).

Crystal structure
Lattice parameters (Å, degrees): 3.5034 3.5034 25.4795 90.00 90.00 120.00
Space group P3m1 (No. 156)
Symmetry-distinct sites (fractional):
Nd: 0.0000 0.0000 0.0000
Nd: 0.0000 0.0000 0.2153
Ho: 0.0000 0.0000 0.3542
Ho: 0.0000 0.0000 0.5609
Ho: 0.3333 0.6667 0.6739
Ho: 0.3333 0.6667 0.8817
Sc: 0.0000 0.0000 0.7781
Sc: 0.3333 0.6667 0.1093
Sc: 0.3333 0.6667 0.4566

Top 12 peaks for 2θ from 15° to 90°, sorted by position:
hkl 0 0 6, 2θ = 20.92°, intensity 24.9; hkl 1 0 0, 2θ = 29.44°, intensity 45.7; hkl 0 1 1, 2θ = 29.65°, intensity 31.1; hkl 0 0 9, 2θ = 31.60°, intensity 33.1; hkl 0 1 4, 2θ = 32.69°, intensity 43.2; hkl 0 1 5, 2θ = 34.40°, intensity 100.0; hkl 1 0 6, 2θ = 36.39°, intensity 15.0; hkl 1 0 9, 2θ = 43.73°, intensity 23.1; hkl 1 1 0, 2θ = 52.22°, intensity 31.7; hkl 0 1 14, 2θ = 59.20°, intensity 28.0; hkl 1 1 9, 2θ = 62.33°, intensity 27.9; hkl 2 0 5, 2θ = 64.04°, intensity 16.3


(2)
LiAlSiO4: theoretical powder diffraction line list (copper Kα), based on a DFT-relaxed cell (GGA-PBE, Alexandria).

Crystal structure
Lattice parameters (Å, degrees): 5.3555 5.3555 11.1004 90.00 90.00 120.00
Space group P6_222 (No. 180)
Symmetry-distinct sites (fractional):
Li: 0.0000 0.0000 0.0000
Al: 0.0000 0.5000 0.6667
Si: 0.0000 0.5000 0.1667
O: 0.1858 0.4000 0.2510

Top 12 peaks for 2θ from 15° to 90°, sorted by position:
hkl 1 0 0, 2θ = 19.14°, intensity 8.1; hkl 1 0 2, 2θ = 25.02°, intensity 100.0; hkl 1 1 0, 2θ = 33.46°, intensity 4.3; hkl 2 0 0, 2θ = 38.83°, intensity 3.9; hkl 1 1 4, 2θ = 47.17°, intensity 21.9; hkl 2 1 2, 2θ = 54.93°, intensity 10.4; hkl 2 1 4, 2θ = 62.69°, intensity 3.7; hkl 2 0 6, 2θ = 64.42°, intensity 11.0; hkl 3 0 4, 2θ = 69.61°, intensity 3.9; hkl 2 2 0, 2θ = 70.31°, intensity 4.6; hkl 3 1 2, 2θ = 75.93°, intensity 6.2; hkl 1 1 8, 2θ = 77.48°, intensity 4.0


(3)
TiAl2Rh3: theoretical powder diffraction line list (copper Kα), based on a DFT-relaxed cell (GGA-PBE, Alexandria).

Crystal structure
Lattice parameters (Å, degrees): 2.9481 2.9481 9.6860 90.00 90.00 90.00
Space group P4/mmm (No. 123)
Symmetry-distinct sites (fractional):
Ti: 0.0000 0.0000 0.0000
Al: 0.0000 0.0000 0.3383
Rh: 0.5000 0.5000 0.1775
Rh: 0.5000 0.5000 0.5000

Top 12 peaks for 2θ from 15° to 90°, sorted by position:
hkl 0 0 3, 2θ = 27.63°, intensity 19.7; hkl 1 0 0, 2θ = 30.32°, intensity 32.3; hkl 1 0 3, 2θ = 41.48°, intensity 100.0; hkl 1 1 0, 2θ = 43.41°, intensity 44.7; hkl 1 1 3, 2θ = 52.23°, intensity 13.6; hkl 0 0 6, 2θ = 57.05°, intensity 8.9; hkl 2 0 0, 2θ = 63.07°, intensity 14.3; hkl 1 0 6, 2θ = 65.98°, intensity 5.9; hkl 2 0 3, 2θ = 70.19°, intensity 5.5; hkl 2 1 0, 2θ = 71.57°, intensity 5.4; hkl 1 1 6, 2θ = 74.31°, intensity 15.9; hkl 2 1 3, 2θ = 78.34°, intensity 29.3


(4)
BaNi3P: theoretical powder diffraction line list (copper Kα), based on a DFT-relaxed cell (GGA-PBE, Alexandria).

Crystal structure
Lattice parameters (Å, degrees): 4.4617 4.4617 4.4617 90.00 90.00 90.00
Space group Pm-3m (No. 221)
Symmetry-distinct sites (fractional):
Ba: 0.0000 0.0000 0.0000
Ni: 0.0000 0.5000 0.5000
P: 0.5000 0.5000 0.5000

Top 12 peaks for 2θ from 15° to 90°, sorted by position:
hkl 1 0 0, 2θ = 19.90°, intensity 3.5; hkl 1 1 0, 2θ = 28.29°, intensity 27.9; hkl 1 1 1, 2θ = 34.83°, intensity 100.0; hkl 2 0 0, 2θ = 40.43°, intensity 71.2; hkl 2 1 0, 2θ = 45.46°, intensity 2.2; hkl 2 1 1, 2θ = 50.08°, intensity 11.1; hkl 2 2 0, 2θ = 58.51°, intensity 45.8; hkl 3 1 0, 2θ = 66.24°, intensity 5.1; hkl 3 1 1, 2θ = 69.93°, intensity 36.3; hkl 2 2 2, 2θ = 73.53°, intensity 15.1; hkl 3 2 1, 2θ = 80.56°, intensity 6.2; hkl 4 0 0, 2θ = 87.44°, intensity 7.3